Calculated powder X-ray diffraction pattern
Compound: BeReO3
Radiation: Cu Kα
Structure: a crystal structure in the Materials Project, relaxed with PBE
Kinematic intensities with the Lorentz-polarization factor, no thermal factor.

Top 6 peaks for 10° ≤ 2θ ≤ 90°, in order of rising 2θ:
(1 0 0), 2θ = 25.8°, d = 3.454 Å, intensity 100
(1 1 0), 2θ = 36.8°, d = 2.443 Å, intensity 95
(1 1 1), 2θ = 45.5°, d = 1.994 Å, intensity 58
(2 0 0), 2θ = 53.0°, d = 1.727 Å, intensity 30
(2 1 0), 2θ = 59.9°, d = 1.545 Å, intensity 43
(2 1 1), 2θ = 66.3°, d = 1.410 Å, intensity 36

Atomic structure:
```
BeReO3
1.0
3.4544 0.0000 0.0000
0.0000 3.4544 0.0000
0.0000 0.0000 3.4544
Be Re O
1 1 3
Cartesian
0.0000 0.0000 0.0000 Be
1.7272 1.7272 1.7272 Re
0.0000 0.0000 1.7272 O
0.0000 1.7272 0.0000 O
1.7272 0.0000 0.0000 O
```